Simulated powder XRD pattern
Compound: KLaMoO4
Radiation: Cu Ka
Structure: a structure optimized by DFT (PBE+U)
Neutral-atom scattering factors, no anomalous dispersion.

Structure:
```
data_KLaMoO4
_chemical_formula_sum 'K2 La2 Mo2 O8'
_cell_length_a 6.9919
_cell_length_b 6.9919
_cell_length_c 6.9919
_cell_angle_alpha 123.05
_cell_angle_beta 114.77
_cell_angle_gamma 92.04
_space_group_name_H-M_alt 'P 1'
_space_group_IT_number 1
_space_group_name_Hall 'P 1'
loop_
_atom_site_label
_atom_site_fract_x
_atom_site_fract_y
_atom_site_fract_z
K1 0.3828 0.1328 0.2500
K2 0.6172 0.8672 0.7500
La1 0.0000 0.5000 0.5000
La2 0.5000 0.5000 0.0000
Mo1 0.0000 0.0000 0.5000
Mo2 0.0000 0.5000 0.0000
O1 0.1745 0.7452 0.4293
O2 0.1841 0.2548 0.9293
O3 0.2115 0.2419 0.5305
O4 0.2115 0.6810 0.9695
O5 0.7885 0.3190 0.0305
O6 0.7885 0.7581 0.4695
O7 0.8159 0.7452 0.0707
O8 0.8255 0.2548 0.5707
```

The 6 most intense peaks (15° ≤ 2θ ≤ 90°), low angle first:
| Position (°2θ) | intensity |
| --- | --- |
| 16.1 | 100 |
| 28.7 | 94 |
| 30.0 | 80 |
| 30.7 | 93 |
| 36.0 | 62 |
| 52.6 | 63 |